This entry pairs a crystal structure of LiPC2Se with its simulated X-ray diffraction stick pattern. Radiation: copper Kα. Structure: the PBE geometry in Alexandria.

Crystal structure
```
LiPC2Se
1.0
3.9571 0.0000 0.0000
0.0000 3.9571 0.0000
0.0000 0.0000 4.9084
Li P C Se
1 1 2 1
Cartesian
0.0000 0.0000 0.0000
1.9786 1.9786 0.0000
0.0000 1.9786 2.4542
1.9786 0.0000 2.4542
1.9786 1.9786 2.4542
```

Most intense lines, 2θ from 5° to 70°, sorted by position:
| 2θ/deg | I (rel.) |
| --- | --- |
| 18.07 | 33 |
| 22.47 | 100 |
| 28.98 | 26 |
| 31.99 | 31 |
| 36.62 | 22 |
| 43.39 | 33 |
| 45.86 | 22 |
| 51.65 | 19 |
| 60.07 | 19 |
| 64.97 | 19 |


This entry pairs a crystal structure of LiPaC with its simulated X-ray diffraction stick pattern. Radiation: copper Kα. Structure: the PBE geometry in Alexandria.

Crystal structure
```
LiPaC
1.0
3.4527 0.0000 0.0000
0.0000 3.4527 0.0000
0.0000 0.0000 4.2955
Li Pa C
1 1 1
Cartesian
0.0000 0.0000 0.0000
1.7264 1.7264 2.1478
0.0000 0.0000 2.1478
```

Most intense lines, 2θ from 5° to 70°, sorted by position:
| 2θ/deg | I (rel.) |
| --- | --- |
| 20.68 | 91 |
| 25.80 | 85 |
| 33.29 | 100 |
| 36.81 | 46 |
| 42.59 | 57 |
| 50.01 | 30 |
| 57.12 | 26 |
| 57.54 | 24 |
| 59.90 | 18 |
| 64.08 | 33 |


This entry pairs a crystal structure of LiPmC with its simulated X-ray diffraction stick pattern. Radiation: copper Kα. Structure: the PBE geometry in Alexandria.

Crystal structure
```
LiPmC
1.0
5.8629 0.0000 0.0000
0.0000 5.8629 0.0000
0.0000 0.0000 5.8629
Li Pm C
4 4 4
Cartesian
0.0000 0.0000 0.0000
0.0000 2.9314 2.9314
2.9314 0.0000 2.9314
2.9314 2.9314 0.0000
0.0000 0.0000 2.9314
0.0000 2.9314 0.0000
2.9314 0.0000 0.0000
2.9314 2.9314 2.9314
1.4657 1.4657 4.3972
1.4657 4.3972 1.4657
4.3972 1.4657 1.4657
4.3972 4.3972 4.3972
```

Most intense lines, 2θ from 5° to 70°, sorted by position:
| 2θ/deg | I (rel.) |
| --- | --- |
| 26.33 | 100 |
| 30.49 | 50 |
| 43.67 | 50 |
| 51.71 | 47 |
| 54.19 | 14 |
| 63.47 | 8 |
| 69.94 | 19 |


This entry pairs a crystal structure of LiPrC with its simulated X-ray diffraction stick pattern. Radiation: copper Kα. Structure: the PBE geometry in Alexandria.

Crystal structure
```
LiPrC
1.0
7.9005 0.0000 0.0000
0.0000 3.6756 0.0000
-3.0318 0.0000 9.5956
Li Pr C
4 4 4
Cartesian
0.0000 0.0000 0.0000
-1.4338 1.8378 8.2075
3.9503 1.8378 0.0000
2.5165 0.0000 8.2075
0.2113 0.0000 5.6338
1.8186 1.8378 2.7765
4.1616 1.8378 5.6338
5.7689 0.0000 2.7765
-0.3718 1.8378 3.8648
2.4078 0.0000 4.5419
3.5784 0.0000 3.8648
6.3581 1.8378 4.5419
```

Most intense lines, 2θ from 5° to 70°, sorted by position:
| 2θ/deg | I (rel.) |
| --- | --- |
| 9.22 | 100 |
| 23.62 | 17 |
| 25.28 | 15 |
| 27.37 | 30 |
| 27.91 | 30 |
| 29.74 | 15 |
| 30.76 | 34 |
| 34.95 | 24 |
| 42.24 | 16 |
| 43.63 | 13 |


This entry pairs a crystal structure of Li2TlRhC with its simulated X-ray diffraction stick pattern. Radiation: copper Kα. Structure: the PBE geometry in Alexandria.

Crystal structure
```
Li2TlRhC
1.0
4.3398 0.0000 0.0000
0.0000 4.3398 0.0000
0.0000 0.0000 3.8785
Li Tl Rh C
2 1 1 1
Cartesian
0.0000 2.1699 0.0000
2.1699 0.0000 0.0000
0.0000 0.0000 1.9392
2.1699 2.1699 1.9392
2.1699 2.1699 0.0000
```

Most intense lines, 2θ from 5° to 70°, sorted by position:
| 2θ/deg | I (rel.) |
| --- | --- |
| 22.93 | 75 |
| 29.10 | 98 |
| 30.92 | 19 |
| 37.37 | 100 |
| 41.62 | 42 |
| 46.84 | 19 |
| 48.05 | 43 |
| 56.10 | 31 |
| 64.44 | 24 |
| 68.36 | 20 |


This entry pairs a crystal structure of LiSc2C with its simulated X-ray diffraction stick pattern. Radiation: copper Kα. Structure: the PBE geometry in Alexandria.

Crystal structure
```
LiSc2C
1.0
3.3104 0.0000 0.0000
-1.6552 2.8669 0.0000
0.0000 0.0000 24.6812
Li Sc C
3 6 3
Cartesian
0.0000 0.0000 0.0000
0.0000 1.9113 16.4541
1.6552 0.9556 8.2270
0.0000 0.0000 5.3529
0.0000 0.0000 11.1266
0.0000 1.9113 2.8996
0.0000 1.9113 21.8070
1.6552 0.9556 13.5799
1.6552 0.9556 19.3537
0.0000 0.0000 20.5935
0.0000 1.9113 12.3664
1.6552 0.9556 4.1394
```

Most intense lines, 2θ from 5° to 70°, sorted by position:
| 2θ/deg | I (rel.) |
| --- | --- |
| 10.75 | 100 |
| 31.41 | 16 |
| 32.65 | 11 |
| 34.50 | 29 |
| 36.23 | 32 |
| 43.07 | 18 |
| 55.52 | 11 |
| 56.73 | 6 |
| 58.29 | 9 |
| 65.91 | 8 |


This entry pairs a crystal structure of LiCSe with its simulated X-ray diffraction stick pattern. Radiation: copper Kα. Structure: the PBE geometry in Alexandria.

Crystal structure
```
LiCSe
1.0
4.4942 0.0000 0.0000
-2.2091 3.9352 0.0000
-0.2558 -1.1044 7.2342
Li C Se
2 2 2
Cartesian
-0.1369 0.8717 1.8604
2.1661 1.9591 5.3738
-0.1177 -0.1553 4.0961
2.1470 2.9861 3.1381
-0.0816 0.7084 5.7261
2.1109 2.1224 1.5081
```

Most intense lines, 2θ from 5° to 70°, sorted by position:
| 2θ/deg | I (rel.) |
| --- | --- |
| 22.87 | 100 |
| 24.29 | 60 |
| 24.61 | 56 |
| 24.79 | 83 |
| 25.53 | 53 |
| 26.55 | 45 |
| 27.10 | 45 |
| 36.38 | 30 |
| 40.14 | 44 |
| 45.12 | 33 |


This entry pairs a crystal structure of LiSn3C with its simulated X-ray diffraction stick pattern. Radiation: copper Kα. Structure: the PBE geometry in Alexandria.

Crystal structure
```
LiSn3C
1.0
4.8108 0.0000 0.0000
0.0000 4.8108 0.0000
0.0000 0.0000 4.8108
Li Sn C
1 3 1
Cartesian
0.0000 0.0000 0.0000
0.0000 2.4054 2.4054
2.4054 0.0000 2.4054
2.4054 2.4054 0.0000
2.4054 2.4054 2.4054
```

Most intense lines, 2θ from 5° to 70°, sorted by position:
| 2θ/deg | I (rel.) |
| --- | --- |
| 18.44 | 38 |
| 26.20 | 21 |
| 32.23 | 100 |
| 37.39 | 57 |
| 42.00 | 18 |
| 46.22 | 10 |
| 53.91 | 40 |
| 57.47 | 9 |
| 64.21 | 44 |
| 67.44 | 14 |


This entry pairs a crystal structure of SrLiC2 with its simulated X-ray diffraction stick pattern. Radiation: copper Kα. Structure: the PBE geometry in Alexandria.

Crystal structure
```
SrLiC2
1.0
3.9021 0.0000 0.0000
0.0000 3.9021 0.0000
0.0000 0.0000 14.2799
Sr Li C
4 4 8
Cartesian
0.0000 0.9755 5.3550
0.0000 2.9265 8.9249
1.9510 0.9755 1.7850
1.9510 2.9265 12.4949
0.0000 0.9755 12.4949
0.0000 2.9265 1.7850
1.9510 0.9755 8.9249
1.9510 2.9265 5.3550
0.0000 0.0000 0.0000
0.0000 1.9510 0.0000
0.9755 0.9755 10.7099
0.9755 2.9265 3.5700
1.9510 0.0000 7.1400
1.9510 1.9510 7.1400
2.9265 0.9755 10.7099
2.9265 2.9265 3.5700
```

Most intense lines, 2θ from 5° to 70°, sorted by position:
| 2θ/deg | I (rel.) |
| --- | --- |
| 23.64 | 67 |
| 24.94 | 33 |
| 29.60 | 87 |
| 34.86 | 100 |
| 39.09 | 40 |
| 46.55 | 22 |
| 50.65 | 34 |
| 52.85 | 31 |
| 53.53 | 29 |
| 56.14 | 14 |


This entry pairs a crystal structure of LiTh6C5 with its simulated X-ray diffraction stick pattern. Radiation: copper Kα. Structure: the PBE geometry in Alexandria.

Crystal structure
```
LiTh6C5
1.0
6.5913 0.0000 0.0000
-3.2957 5.7083 0.0000
0.0000 0.0000 12.7294
Li Th C
2 12 10
Cartesian
0.0000 0.0000 3.1824
0.0000 0.0000 9.5471
-1.2164 2.1068 1.5558
-1.2164 2.1068 4.8089
-2.0793 3.6014 7.9205
-2.0793 3.6014 11.1736
2.4328 0.0000 1.5558
2.4328 0.0000 4.8089
1.2164 2.1068 7.9205
1.2164 2.1068 11.1736
4.1585 0.0000 7.9205
4.1585 0.0000 11.1736
2.0793 3.6014 1.5558
2.0793 3.6014 4.8089
-1.0549 1.8272 9.5471
-2.2407 3.8811 3.1824
2.1098 0.0000 9.5471
1.0549 1.8272 3.1824
0.0000 3.8055 0.0000
0.0000 3.8055 6.3647
3.2957 1.9027 0.0000
3.2957 1.9027 6.3647
4.4815 0.0000 3.1824
2.2407 3.8811 9.5471
```

Most intense lines, 2θ from 5° to 70°, sorted by position:
| 2θ/deg | I (rel.) |
| --- | --- |
| 27.06 | 27 |
| 27.99 | 100 |
| 34.46 | 52 |
| 39.36 | 21 |
| 42.52 | 13 |
| 44.99 | 19 |
| 47.80 | 21 |
| 56.33 | 30 |
| 57.93 | 17 |
| 60.25 | 8 |


This entry pairs a crystal structure of LiTlC with its simulated X-ray diffraction stick pattern. Radiation: copper Kα. Structure: the PBE geometry in Alexandria.

Crystal structure
```
LiTlC
1.0
3.4535 0.0000 0.0000
1.7029 3.2085 0.0000
1.6661 0.4594 10.4665
Li Tl C
2 2 2
Cartesian
0.0000 0.0000 0.0000
1.7202 2.5456 2.3619
1.7654 0.4186 4.9501
3.3822 1.6890 7.9389
1.7227 1.1790 0.5816
1.7458 0.4426 1.6048
```

Most intense lines, 2θ from 5° to 70°, sorted by position:
| 2θ/deg | I (rel.) |
| --- | --- |
| 8.45 | 100 |
| 25.53 | 26 |
| 29.50 | 38 |
| 29.71 | 16 |
| 31.72 | 13 |
| 32.05 | 30 |
| 32.37 | 15 |
| 33.42 | 10 |
| 34.27 | 12 |
| 36.90 | 25 |


This entry pairs a crystal structure of LuMn2SiC with its simulated X-ray diffraction stick pattern. Radiation: copper Kα. Structure: the PBE geometry in Alexandria.

Crystal structure
```
LuMn2SiC
1.0
1.8158 -5.2623 0.0000
1.8158 5.2623 0.0000
0.0000 0.0000 6.9429
Lu Mn Si C
2 4 2 2
Cartesian
1.8158 4.8221 5.2072
1.8158 -4.8221 1.7357
1.8158 1.7690 3.8942
1.8158 1.7690 6.5202
1.8158 -1.7690 0.4228
1.8158 -1.7690 3.0487
1.8158 2.7658 1.7357
1.8158 -2.7658 5.2072
1.8158 0.0000 0.0000
1.8158 0.0000 3.4715
```

Most intense lines, 2θ from 5° to 70°, sorted by position:
| 2θ/deg | I (rel.) |
| --- | --- |
| 16.85 | 18 |
| 25.95 | 26 |
| 30.86 | 38 |
| 35.58 | 54 |
| 36.52 | 41 |
| 36.82 | 100 |
| 37.94 | 43 |
| 42.68 | 20 |
| 50.25 | 22 |
| 65.20 | 24 |


This entry pairs a crystal structure of Lu4Ni2C5 with its simulated X-ray diffraction stick pattern. Radiation: copper Kα. Structure: the PBE geometry in Alexandria.

Crystal structure
```
Lu4Ni2C5
1.0
3.5160 0.0000 0.0000
0.0000 11.3976 0.0000
0.0000 0.0000 3.6446
Lu Ni C
4 2 5
Cartesian
0.0000 0.0000 0.0000
0.0000 3.3932 2.5881
0.0000 8.0043 2.5881
1.7580 5.6988 0.7759
1.7580 1.3146 1.8660
1.7580 10.0830 1.8660
0.0000 5.6988 2.6209
1.7580 1.9154 0.0424
1.7580 3.1092 0.7730
1.7580 8.2883 0.7730
1.7580 9.4822 0.0424
```

Most intense lines, 2θ from 5° to 70°, sorted by position:
| 2θ/deg | I (rel.) |
| --- | --- |
| 29.08 | 76 |
| 34.09 | 40 |
| 34.76 | 100 |
| 35.48 | 59 |
| 36.37 | 70 |
| 38.94 | 21 |
| 50.74 | 21 |
| 52.02 | 25 |
| 54.15 | 35 |
| 59.38 | 31 |


This entry pairs a crystal structure of Lu4Ni13C4 with its simulated X-ray diffraction stick pattern. Radiation: copper Kα. Structure: the PBE geometry in Alexandria.

Crystal structure
```
Lu4Ni13C4
1.0
5.8183 -5.9590 0.0000
5.8183 5.9590 0.0000
0.0000 0.0000 3.8108
Lu Ni C
4 13 4
Cartesian
5.8183 3.7356 0.0000
4.0515 0.0000 0.0000
7.5852 0.0000 0.0000
5.8183 -3.7356 0.0000
0.0000 0.0000 1.9054
2.9092 2.9795 0.0000
2.1338 1.2875 1.9054
1.4352 0.0000 0.0000
4.5744 2.1138 1.9054
2.1338 -1.2875 1.9054
7.0623 2.1138 1.9054
2.9092 -2.9795 0.0000
4.5744 -2.1138 1.9054
9.5029 1.2875 1.9054
7.0623 -2.1138 1.9054
10.2015 0.0000 0.0000
9.5029 -1.2875 1.9054
2.9092 2.9795 1.9054
5.8183 0.6803 1.9054
2.9092 -2.9795 1.9054
5.8183 -0.6803 1.9054
```

Most intense lines, 2θ from 5° to 70°, sorted by position:
| 2θ/deg | I (rel.) |
| --- | --- |
| 33.48 | 80 |
| 33.82 | 44 |
| 34.30 | 31 |
| 38.35 | 45 |
| 41.48 | 21 |
| 41.91 | 100 |
| 44.62 | 40 |
| 45.15 | 23 |
| 47.73 | 45 |
| 67.39 | 23 |